1.
The following is a calculated PXRD pattern of PrTh3N4. It was derived from a structure optimized by DFT (PBE), using Cu Kα (λ = 1.5418 Å).
No peak broadening, texture or thermal motion is included.

Most intense lines, 10° ≤ 2θ ≤ 80°, in order of rising 2θ:
d 5.994, rel. 3; d 2.995, rel. 100; d 2.594, rel. 67; d 1.834, rel. 40; d 1.833, rel. 8; d 1.564, rel. 47; d 1.497, rel. 17; d 1.297, rel. 8

```
data_PrTh3N4
_chemical_formula_sum 'Pr2 Th6 N8'
_space_group_name_H-M_alt 'C m m m'
_space_group_IT_number 65
_space_group_name_Hall '-C 2 2'
_cell_length_a 7.3450
_cell_length_b 10.3694
_cell_length_c 3.6652
_cell_angle_alpha 90.00
_cell_angle_beta 90.00
_cell_angle_gamma 90.00
loop_
_atom_site_label
_atom_site_type_symbol
_atom_site_fract_x
_atom_site_fract_y
_atom_site_fract_z
Pr1 Pr 0.0000 0.0000 0.0000
Th1 Th 0.0000 0.5000 0.0000
Th2 Th 0.2500 0.2500 0.5000
N1 N 0.0000 0.2562 0.0000
N2 N 0.2362 0.5000 0.5000
```

=====

2.
The following is a calculated PXRD pattern of PrThVN4. It was derived from a structure optimized by DFT (PBE), using Cu Kα (λ = 1.5418 Å).
No peak broadening, texture or thermal motion is included.

Most intense lines, 10° ≤ 2θ ≤ 80°, in order of rising 2θ:
d 3.674, rel. 43; d 3.202, rel. 21; d 2.853, rel. 100; d 2.721, rel. 32; d 2.703, rel. 31; d 1.918, rel. 29; d 1.595, rel. 18; d 1.588, rel. 18

```
data_PrThVN4
_chemical_formula_sum 'Pr4 Th4 V4 N16'
_space_group_name_H-M_alt 'C m c m'
_space_group_IT_number 63
_space_group_name_Hall '-C 2c 2'
_cell_length_a 5.4422
_cell_length_b 12.8087
_cell_length_c 5.4066
_cell_angle_alpha 90.00
_cell_angle_beta 90.00
_cell_angle_gamma 90.00
loop_
_atom_site_label
_atom_site_type_symbol
_atom_site_fract_x
_atom_site_fract_y
_atom_site_fract_z
Pr1 Pr 0.0000 0.1089 0.2500
Th1 Th 0.0000 0.3915 0.2500
V1 V 0.0000 0.2331 0.7500
N1 N 0.0000 0.0875 0.7500
N2 N 0.0000 0.4296 0.7500
N3 N 0.2500 0.2500 0.0000
```

=====

3.
The following is a calculated PXRD pattern of PrTh2WN5. It was derived from a structure optimized by DFT (PBE), using Cu Kα (λ = 1.5418 Å).
No peak broadening, texture or thermal motion is included.

Most intense lines, 10° ≤ 2θ ≤ 80°, in order of rising 2θ:
d 3.077, rel. 20; d 2.974, rel. 100; d 2.732, rel. 39; d 2.433, rel. 15; d 2.136, rel. 24; d 2.043, rel. 11; d 1.881, rel. 14; d 1.715, rel. 15

```
data_PrTh2WN5
_chemical_formula_sum 'Pr2 Th4 W2 N10'
_space_group_name_H-M_alt 'P 4/m b m'
_space_group_IT_number 127
_space_group_name_Hall '-P 4 2ab'
_cell_length_a 6.8806
_cell_length_b 6.8806
_cell_length_c 5.9357
_cell_angle_alpha 90.00
_cell_angle_beta 90.00
_cell_angle_gamma 90.00
loop_
_atom_site_label
_atom_site_type_symbol
_atom_site_fract_x
_atom_site_fract_y
_atom_site_fract_z
Pr1 Pr 0.0000 0.0000 0.0000
Th1 Th 0.1721 0.3279 0.5000
W1 W 0.0000 0.5000 0.0000
N1 N 0.0000 0.0000 0.5000
N2 N 0.1423 0.6423 0.2355
```

=====

4.
The following is a calculated PXRD pattern of PrTmVN3. It was derived from a structure optimized by DFT (PBE), using Cu Kα (λ = 1.5418 Å).
No peak broadening, texture or thermal motion is included.

Most intense lines, 10° ≤ 2θ ≤ 80°, in order of rising 2θ:
d 7.383, rel. 69; d 3.125, rel. 81; d 3.054, rel. 45; d 2.851, rel. 66; d 2.521, rel. 70; d 2.501, rel. 100; d 2.461, rel. 97; d 1.871, rel. 28

```
data_PrTmVN3
_chemical_formula_sum 'Pr2 Tm2 V2 N6'
_space_group_name_H-M_alt 'P 1 21/m 1'
_space_group_IT_number 11
_cell_length_a 7.3781
_cell_length_b 3.4499
_cell_length_c 7.4991
_cell_angle_alpha 90.00
_cell_angle_beta 100.09
_cell_angle_gamma 90.00
loop_
_space_group_symop_operation_xyz
'x,y,z'
'-x,-y,-z'
'-x,y+1/2,-z'
'x,-y+1/2,z'
loop_
_atom_site_label
_atom_site_type_symbol
_atom_site_fract_x
_atom_site_fract_y
_atom_site_fract_z
Pr1 Pr 0.1833 0.2500 0.1846
Tm1 Tm 0.3653 0.7500 0.8393
V1 V 0.0919 0.2500 0.5984
N1 N 0.1200 0.2500 0.8455
N2 N 0.1701 0.7500 0.5180
N3 N 0.4148 0.7500 0.1461
```

=====

5.
The following is a calculated PXRD pattern of Pr5U3N8. It was derived from a structure optimized by DFT (PBE), using Cu Kα (λ = 1.5418 Å).
No peak broadening, texture or thermal motion is included.

Most intense lines, 10° ≤ 2θ ≤ 80°, in order of rising 2θ:
d 2.935, rel. 35; d 2.913, rel. 100; d 2.527, rel. 92; d 1.792, rel. 32; d 1.782, rel. 32; d 1.530, rel. 16; d 1.523, rel. 31; d 1.456, rel. 16

```
data_Pr5U3N8
_chemical_formula_sum 'Pr15 U9 N24'
_space_group_name_H-M_alt 'R -3 m'
_space_group_IT_number 166
_space_group_name_Hall '-R 3 2"'
_cell_length_a 7.1281
_cell_length_b 7.1281
_cell_length_c 17.6098
_cell_angle_alpha 90.00
_cell_angle_beta 90.00
_cell_angle_gamma 120.00
loop_
_atom_site_label
_atom_site_type_symbol
_atom_site_fract_x
_atom_site_fract_y
_atom_site_fract_z
Pr1 Pr 0.0000 0.0000 0.0000
Pr2 Pr 0.0000 0.0000 0.5000
Pr3 Pr 0.0000 0.5000 0.0000
U1 U 0.0000 0.5000 0.5000
N1 N 0.0000 0.0000 0.2341
N2 N 0.0280 0.5140 0.7642
```

=====

6.
The following is a calculated PXRD pattern of Pr3Zr2UN6. It was derived from a structure optimized by DFT (PBE), using Cu Kα (λ = 1.5418 Å).
No peak broadening, texture or thermal motion is included.

Most intense lines, 10° ≤ 2θ ≤ 80°, in order of rising 2θ:
d 2.917, rel. 38; d 2.816, rel. 100; d 2.460, rel. 100; d 1.762, rel. 35; d 1.717, rel. 33; d 1.508, rel. 17; d 1.480, rel. 20; d 1.466, rel. 15

```
data_Pr3Zr2UN6
_chemical_formula_sum 'Pr6 Zr4 U2 N12'
_space_group_name_H-M_alt 'C 1 2/m 1'
_space_group_IT_number 12
_cell_length_a 5.9469
_cell_length_b 10.3052
_cell_length_c 6.1586
_cell_angle_alpha 90.00
_cell_angle_beta 108.67
_cell_angle_gamma 90.00
loop_
_space_group_symop_operation_xyz
'x,y,z'
'-x,-y,-z'
'-x,y,-z'
'x,-y,z'
'x+1/2,y+1/2,z'
'-x+1/2,-y+1/2,-z'
'-x+1/2,y+1/2,-z'
'x+1/2,-y+1/2,z'
loop_
_atom_site_label
_atom_site_type_symbol
_atom_site_fract_x
_atom_site_fract_y
_atom_site_fract_z
Pr1 Pr 0.0000 0.0000 0.0000
Pr2 Pr 0.0000 0.3310 0.0000
Zr1 Zr 0.0000 0.1665 0.5000
U1 U 0.0000 0.5000 0.5000
N1 N 0.2314 0.3370 0.7057
N2 N 0.2425 0.0000 0.7040
```

=====

7.
The following is a calculated PXRD pattern of Pr2VN3. It was derived from a structure optimized by DFT (PBE), using Cu Kα (λ = 1.5418 Å).
No peak broadening, texture or thermal motion is included.

Most intense lines, 10° ≤ 2θ ≤ 80°, in order of rising 2θ:
d 3.694, rel. 24; d 3.109, rel. 14; d 2.828, rel. 100; d 2.751, rel. 32; d 2.720, rel. 32; d 1.934, rel. 26; d 1.603, rel. 18; d 1.591, rel. 18

```
data_Pr2VN3
_chemical_formula_sum 'Pr8 V4 N12'
_space_group_name_H-M_alt 'C m m e'
_space_group_IT_number 67
_space_group_name_Hall '-C 2a 2'
_cell_length_a 5.4406
_cell_length_b 12.4369
_cell_length_c 5.5013
_cell_angle_alpha 90.00
_cell_angle_beta 90.00
_cell_angle_gamma 90.00
loop_
_atom_site_label
_atom_site_type_symbol
_atom_site_fract_x
_atom_site_fract_y
_atom_site_fract_z
Pr1 Pr 0.0000 0.1015 0.2433
V1 V 0.0000 0.2500 0.7216
N1 N 0.0000 0.0972 0.7957
N2 N 0.2500 0.2500 0.5000
```

=====

8.
The following is a calculated PXRD pattern of Pr3VN4. It was derived from a structure optimized by DFT (PBE), using Cu Kα (λ = 1.5418 Å).
No peak broadening, texture or thermal motion is included.

Most intense lines, 10° ≤ 2θ ≤ 80°, in order of rising 2θ:
d 3.373, rel. 50; d 2.908, rel. 64; d 2.854, rel. 100; d 2.677, rel. 43; d 2.097, rel. 24; d 1.981, rel. 34; d 1.609, rel. 24; d 1.593, rel. 31

```
data_Pr3VN4
_chemical_formula_sum 'Pr6 V2 N8'
_space_group_name_H-M_alt 'P m n 21'
_space_group_IT_number 31
_cell_length_a 7.7233
_cell_length_b 6.9249
_cell_length_c 5.3547
_cell_angle_alpha 90.00
_cell_angle_beta 90.00
_cell_angle_gamma 90.00
loop_
_space_group_symop_operation_xyz
'x,y,z'
'-x+1/2,-y,z+1/2'
'-x,y,z'
'x+1/2,-y,z+1/2'
loop_
_atom_site_label
_atom_site_type_symbol
_atom_site_fract_x
_atom_site_fract_y
_atom_site_fract_z
Pr1 Pr 0.0000 0.1475 0.0000
Pr2 Pr 0.2463 0.3384 0.5051
V1 V 0.0000 0.8307 0.4502
N1 N 0.0000 0.1047 0.5084
N2 N 0.0000 0.8256 0.1109
N3 N 0.2070 0.7001 0.5198
```